For Be9NbMo2, the PBE geometry in Alexandria gives the calculated X-ray powder pattern in this record (Cu Kα X-rays).

Crystal structure
```
Be9NbMo2
1.0
2.2273 1.2859 6.9499
-2.2273 1.2859 6.9499
0.0000 -2.5719 6.9499
Be Nb Mo
9 1 2
Direct
0.0000 0.0000 0.0000 Be
0.0844 0.0844 0.5778 Be
0.0844 0.5778 0.0844 Be
0.1658 0.1658 0.1658 Be
0.4222 0.9156 0.9156 Be
0.5778 0.0844 0.0844 Be
0.8342 0.8342 0.8342 Be
0.9156 0.4222 0.9156 Be
0.9156 0.9156 0.4222 Be
0.5000 0.5000 0.5000 Nb
0.3558 0.3558 0.3558 Mo
0.6442 0.6442 0.6442 Mo
```

Main lines, in order of rising 2θ (2θ = 15–90°):
- 2θ 23.45, I 100.0
- 2θ 25.64, I 30.8
- 2θ 38.17, I 62.9
- 2θ 40.50, I 56.1
- 2θ 41.83, I 26.6
- 2θ 47.33, I 22.1
- 2θ 48.55, I 47.7
- 2θ 56.87, I 14.0
- 2θ 72.12, I 18.6
- 2θ 81.67, I 14.3


For ThCd4Hg7, the PBE geometry in Alexandria gives the calculated X-ray powder pattern in this record (Cu Kα X-rays).

Crystal structure
```
ThCd4Hg7
1.0
6.2843 -3.1106 0.0000
6.2843 3.1106 0.0000
-4.9755 0.0000 8.0855
Th Cd Hg
1 4 7
Direct
0.0000 0.0000 0.0000 Th
0.2541 0.2541 0.6744 Cd
0.4994 0.4994 0.6721 Cd
0.5006 0.5006 0.3279 Cd
0.7459 0.7459 0.3256 Cd
0.0038 0.0038 0.3440 Hg
0.2538 0.2538 0.9991 Hg
0.2636 0.2636 0.3478 Hg
0.5000 0.5000 0.0000 Hg
0.7364 0.7364 0.6522 Hg
0.7462 0.7462 0.0009 Hg
0.9962 0.9962 0.6560 Hg
```

Main lines, in order of rising 2θ (2θ = 15–90°):
- 2θ 28.70, I 100.0
- 2θ 32.53, I 71.8
- 2θ 33.24, I 66.6
- 2θ 33.49, I 65.2
- 2θ 43.92, I 63.2
- 2θ 44.48, I 60.2
- 2θ 44.67, I 59.0
- 2θ 66.29, I 18.1
- 2θ 66.73, I 17.6
- 2θ 69.81, I 23.1


Question: Which formula does entry 1 have?
Answer: Be9NbMo2